PrHoSi2Mo2C: computed powder XRD pattern (Cu Kα), based on a cell relaxed with PBE.
Kinematic intensities with the Lorentz-polarization factor, no thermal factor.

Top 10 peaks for 10 to 80 degrees two-theta, in order of rising 2θ:
- 24.57 deg, I 22
- 24.97 deg, I 24
- 31.14 deg, I 44
- 32.20 deg, I 18
- 32.93 deg, I 25
- 33.37 deg, I 89
- 34.76 deg, I 100
- 39.33 deg, I 30
- 46.86 deg, I 26
- 52.95 deg, I 16

Atomic structure:
a = 11.2081 Å, b = 3.8779 Å, c = 7.2666 Å
α = 90.00°, β = 125.89°, γ = 90.00°
Space group Cm (No. 8)
Asymmetric unit:
Pr 0.0000 0.0000 0.0000
Ho 0.3495 0.5000 0.4046
Si 0.0558 0.5000 0.3707
Si 0.2899 0.0000 0.0319
Mo 0.1276 0.5000 0.7780
Mo 0.2160 0.0000 0.6150
C 0.4193 0.0000 0.6872



Zr8Ge2C3N3: computed powder XRD pattern (Cu Kα), based on a cell relaxed with PBE.
Kinematic intensities with the Lorentz-polarization factor, no thermal factor.

Top 10 peaks for 10 to 80 degrees two-theta, in order of rising 2θ:
- 31.42 deg, I 25
- 32.07 deg, I 23
- 34.57 deg, I 35
- 36.34 deg, I 78
- 36.81 deg, I 31
- 38.41 deg, I 100
- 52.11 deg, I 17
- 55.37 deg, I 16
- 55.53 deg, I 48
- 68.49 deg, I 30

Atomic structure:
a = 3.3100 Å, b = 3.3100 Å, c = 24.4160 Å
α = 90.00°, β = 90.00°, γ = 120.00°
Space group P-3m1 (No. 164)
Asymmetric unit:
Zr 0.0000 0.0000 0.1597
Zr 0.0000 0.0000 0.3368
Zr 0.3333 0.6667 0.5544
Zr 0.3333 0.6667 0.9444
Ge 0.3333 0.6667 0.7514
C 0.0000 0.0000 0.5000
C 0.3333 0.6667 0.3864
N 0.0000 0.0000 0.0000
N 0.3333 0.6667 0.1082



Fe8Ir5: computed powder XRD pattern (Cu Kα), based on a cell relaxed with PBE.
Kinematic intensities with the Lorentz-polarization factor, no thermal factor.

Top 10 peaks for 10 to 80 degrees two-theta, in order of rising 2θ:
- 24.78 deg, I 33
- 28.69 deg, I 3
- 38.27 deg, I 3
- 43.64 deg, I 100
- 50.83 deg, I 6
- 63.42 deg, I 15
- 65.37 deg, I 5
- 69.19 deg, I 2
- 74.74 deg, I 4
- 76.56 deg, I 3

Atomic structure:
a = 8.7998 Å, b = 8.7998 Å, c = 8.7998 Å
α = 90.00°, β = 90.00°, γ = 90.00°
Space group I-43m (No. 217)
Asymmetric unit:
Fe 0.0206 0.3212 0.6788
Fe 0.1139 0.1139 0.8861
Ir 0.0000 0.0000 0.3524
Ir 0.1819 0.1819 0.1819



KTbTeO: computed powder XRD pattern (Cu Kα), based on a cell relaxed with PBE.
Kinematic intensities with the Lorentz-polarization factor, no thermal factor.

Top 10 peaks for 10 to 80 degrees two-theta, in order of rising 2θ:
- 10.17 deg, I 100
- 25.97 deg, I 20
- 28.65 deg, I 74
- 29.99 deg, I 39
- 30.83 deg, I 19
- 31.91 deg, I 14
- 33.33 deg, I 22
- 34.37 deg, I 12
- 35.36 deg, I 34
- 47.81 deg, I 22

Atomic structure:
a = 8.7654 Å, b = 7.4957 Å, c = 6.6777 Å
α = 90.00°, β = 96.93°, γ = 90.00°
Space group P2_1/c (No. 14)
Asymmetric unit:
K 0.1269 0.1183 0.3523
Tb 0.4872 0.6347 0.7890
Te 0.2392 0.5759 0.3888
O 0.4270 0.1425 0.3902



DyB3O6: computed powder XRD pattern (Cu Kα), based on a cell relaxed with PBE.
Kinematic intensities with the Lorentz-polarization factor, no thermal factor.

Top 10 peaks for 10 to 80 degrees two-theta, in order of rising 2θ:
- 15.97 deg, I 23
- 18.34 deg, I 100
- 22.38 deg, I 35
- 22.92 deg, I 41
- 28.64 deg, I 38
- 29.30 deg, I 34
- 30.37 deg, I 28
- 32.25 deg, I 45
- 45.30 deg, I 32
- 46.11 deg, I 25

Atomic structure:
a = 9.5331 Å, b = 7.9460 Å, c = 6.1128 Å
α = 90.00°, β = 125.52°, γ = 90.00°
Space group C2/c (No. 15)
Asymmetric unit:
Dy 0.0000 0.2001 0.2500
B 0.0000 0.2181 0.7500
B 0.2231 0.4377 0.0897
O 0.1007 0.3117 0.9986
O 0.1050 0.1061 0.7039
O 0.1975 0.4045 0.5026



TmHg2SO6: computed powder XRD pattern (Cu Kα), based on a cell relaxed with PBE.
Kinematic intensities with the Lorentz-polarization factor, no thermal factor.

Top 10 peaks for 10 to 80 degrees two-theta, in order of rising 2θ:
- 13.22 deg, I 73
- 26.72 deg, I 100
- 28.56 deg, I 91
- 29.16 deg, I 96
- 30.34 deg, I 93
- 32.43 deg, I 37
- 32.74 deg, I 72
- 33.25 deg, I 31
- 38.13 deg, I 33
- 41.09 deg, I 34

Atomic structure:
a = 6.8543 Å, b = 7.3590 Å, c = 7.3660 Å
α = 77.86°, β = 66.05°, γ = 65.21°
Space group P-1 (No. 2)
Asymmetric unit:
Tm 0.1650 0.2883 0.3598
Hg 0.1477 0.2801 0.8674
Hg 0.3846 0.6795 0.0922
S 0.2889 0.8185 0.6280
O 0.0323 0.6212 0.3223
O 0.1749 0.9202 0.8166
O 0.1779 0.6819 0.6314
O 0.2763 0.9644 0.4544
O 0.3139 0.2027 0.0583
O 0.4637 0.3022 0.4051



Li2InCu2Sn: computed powder XRD pattern (Cu Kα), based on a cell relaxed with PBE.
Kinematic intensities with the Lorentz-polarization factor, no thermal factor.

Top 10 peaks for 10 to 80 degrees two-theta, in order of rising 2θ:
- 22.70 deg, I 91
- 27.66 deg, I 26
- 31.51 deg, I 57
- 39.18 deg, I 55
- 39.85 deg, I 100
- 51.67 deg, I 83
- 57.12 deg, I 18
- 71.91 deg, I 18
- 72.36 deg, I 16
- 79.75 deg, I 25

Atomic structure:
a = 4.5240 Å, b = 4.5240 Å, c = 5.6786 Å
α = 90.00°, β = 90.00°, γ = 120.00°
Space group P-6m2 (No. 187)
Asymmetric unit:
Li 0.0000 0.0000 0.2485
In 0.3333 0.6667 0.5000
Cu 0.3333 0.6667 0.0000
Cu 0.6667 0.3333 0.5000
Sn 0.6667 0.3333 0.0000



Ge4PdS3: computed powder XRD pattern (Cu Kα), based on a cell relaxed with PBE.
Kinematic intensities with the Lorentz-polarization factor, no thermal factor.

Top 10 peaks for 10 to 80 degrees two-theta, in order of rising 2θ:
- 12.23 deg, I 79
- 12.53 deg, I 47
- 17.17 deg, I 45
- 28.17 deg, I 42
- 31.31 deg, I 100
- 31.73 deg, I 39
- 34.74 deg, I 33
- 36.27 deg, I 49
- 38.29 deg, I 61
- 45.99 deg, I 49

Atomic structure:
a = 7.0711 Å, b = 3.4299 Å, c = 7.2447 Å
α = 90.00°, β = 92.39°, γ = 90.00°
Space group Pm (No. 6)
Asymmetric unit:
Ge 0.0000 0.0000 0.0000
Ge 0.1004 0.5000 0.5374
Ge 0.5227 0.0000 0.4377
Ge 0.6437 0.5000 0.8653
Pd 0.8196 0.0000 0.6784
S 0.2954 0.0000 0.6842
S 0.3394 0.5000 0.2827
S 0.8181 0.5000 0.1497



GaReSi: computed powder XRD pattern (Cu Kα), based on a cell relaxed with PBE.
Kinematic intensities with the Lorentz-polarization factor, no thermal factor.

Top 10 peaks for 10 to 80 degrees two-theta, in order of rising 2θ:
- 21.98 deg, I 33
- 29.96 deg, I 64
- 35.72 deg, I 18
- 39.73 deg, I 73
- 43.86 deg, I 100
- 45.86 deg, I 20
- 57.45 deg, I 25
- 62.26 deg, I 8
- 66.15 deg, I 14
- 74.98 deg, I 41

Atomic structure:
a = 3.2082 Å, b = 3.2082 Å, c = 8.0893 Å
α = 90.00°, β = 90.00°, γ = 90.00°
Space group P4/nmm (No. 129, origin choice 2)
Asymmetric unit:
Ga 0.2500 0.2500 0.0855
Re 0.2500 0.2500 0.7294
Si 0.2500 0.2500 0.4153



Ho3Mg3CdAgPd: computed powder XRD pattern (Cu Kα), based on a cell relaxed with PBE.
Kinematic intensities with the Lorentz-polarization factor, no thermal factor.

Top 10 peaks for 10 to 80 degrees two-theta, in order of rising 2θ:
- 22.67 deg, I 31
- 26.23 deg, I 19
- 32.18 deg, I 67
- 34.87 deg, I 100
- 39.80 deg, I 26
- 41.98 deg, I 27
- 46.02 deg, I 16
- 48.29 deg, I 15
- 53.92 deg, I 19
- 64.25 deg, I 22

Atomic structure:
a = 7.8463 Å, b = 7.8463 Å, c = 3.9441 Å
α = 90.00°, β = 90.00°, γ = 120.00°
Space group P-6 (No. 174)
Asymmetric unit:
Ho 0.0921 0.3624 0.0000
Mg 0.4139 0.3288 0.5000
Cd 0.0000 0.0000 0.5000
Ag 0.6667 0.3333 0.0000
Pd 0.3333 0.6667 0.5000



SbOsF8: computed powder XRD pattern (Cu Kα), based on a cell relaxed with PBE.
Kinematic intensities with the Lorentz-polarization factor, no thermal factor.

Top 10 peaks for 10 to 80 degrees two-theta, in order of rising 2θ:
- 21.22 deg, I 32
- 24.61 deg, I 100
- 24.93 deg, I 99
- 25.42 deg, I 60
- 27.08 deg, I 55
- 33.07 deg, I 23
- 44.69 deg, I 23
- 45.02 deg, I 24
- 52.19 deg, I 24
- 58.77 deg, I 23

Atomic structure:
a = 5.4243 Å, b = 6.5856 Å, c = 7.0090 Å
α = 90.00°, β = 91.06°, γ = 90.00°
Space group P2_1/m (No. 11)
Asymmetric unit:
Sb 0.0689 0.2500 0.2518
Os 0.4240 0.2500 0.7538
F 0.1023 0.7500 0.9953
F 0.1099 0.7500 0.5085
F 0.1758 0.0419 0.7536
F 0.3320 0.5454 0.2487
F 0.4231 0.2500 0.4833
F 0.4315 0.2500 0.0240



Bi2WS6: computed powder XRD pattern (Cu Kα), based on a cell relaxed with PBE.
Kinematic intensities with the Lorentz-polarization factor, no thermal factor.

Top 10 peaks for 10 to 80 degrees two-theta, in order of rising 2θ:
- 22.90 deg, I 100
- 25.78 deg, I 15
- 28.45 deg, I 11
- 28.76 deg, I 12
- 36.36 deg, I 18
- 38.36 deg, I 10
- 38.76 deg, I 16
- 43.77 deg, I 21
- 46.78 deg, I 10
- 47.18 deg, I 14

Atomic structure:
a = 7.0699 Å, b = 18.8261 Å, c = 6.9115 Å
α = 90.00°, β = 90.00°, γ = 90.00°
Space group Aea2 (No. 41)
Asymmetric unit:
Bi 0.0655 0.1784 0.0000
W 0.0000 0.0000 0.5011
S 0.0990 0.1092 0.6172
S 0.2260 0.4635 0.8127
S 0.2410 0.2651 0.2754



Repeat the second record exactly.
Zr8Ge2C3N3: computed powder XRD pattern (Cu Kα), based on a cell relaxed with PBE.
Kinematic intensities with the Lorentz-polarization factor, no thermal factor.

Top 10 peaks for 10 to 80 degrees two-theta, in order of rising 2θ:
- 31.42 deg, I 25
- 32.07 deg, I 23
- 34.57 deg, I 35
- 36.34 deg, I 78
- 36.81 deg, I 31
- 38.41 deg, I 100
- 52.11 deg, I 17
- 55.37 deg, I 16
- 55.53 deg, I 48
- 68.49 deg, I 30

Atomic structure:
a = 3.3100 Å, b = 3.3100 Å, c = 24.4160 Å
α = 90.00°, β = 90.00°, γ = 120.00°
Space group P-3m1 (No. 164)
Asymmetric unit:
Zr 0.0000 0.0000 0.1597
Zr 0.0000 0.0000 0.3368
Zr 0.3333 0.6667 0.5544
Zr 0.3333 0.6667 0.9444
Ge 0.3333 0.6667 0.7514
C 0.0000 0.0000 0.5000
C 0.3333 0.6667 0.3864
N 0.0000 0.0000 0.0000
N 0.3333 0.6667 0.1082



What did the fifth record say?
DyB3O6: computed powder XRD pattern (Cu Kα), based on a cell relaxed with PBE.
Kinematic intensities with the Lorentz-polarization factor, no thermal factor.

Top 10 peaks for 10 to 80 degrees two-theta, in order of rising 2θ:
- 15.97 deg, I 23
- 18.34 deg, I 100
- 22.38 deg, I 35
- 22.92 deg, I 41
- 28.64 deg, I 38
- 29.30 deg, I 34
- 30.37 deg, I 28
- 32.25 deg, I 45
- 45.30 deg, I 32
- 46.11 deg, I 25

Atomic structure:
a = 9.5331 Å, b = 7.9460 Å, c = 6.1128 Å
α = 90.00°, β = 125.52°, γ = 90.00°
Space group C2/c (No. 15)
Asymmetric unit:
Dy 0.0000 0.2001 0.2500
B 0.0000 0.2181 0.7500
B 0.2231 0.4377 0.0897
O 0.1007 0.3117 0.9986
O 0.1050 0.1061 0.7039
O 0.1975 0.4045 0.5026



Please write out number 1 again, unchanged.
PrHoSi2Mo2C: computed powder XRD pattern (Cu Kα), based on a cell relaxed with PBE.
Kinematic intensities with the Lorentz-polarization factor, no thermal factor.

Top 10 peaks for 10 to 80 degrees two-theta, in order of rising 2θ:
- 24.57 deg, I 22
- 24.97 deg, I 24
- 31.14 deg, I 44
- 32.20 deg, I 18
- 32.93 deg, I 25
- 33.37 deg, I 89
- 34.76 deg, I 100
- 39.33 deg, I 30
- 46.86 deg, I 26
- 52.95 deg, I 16

Atomic structure:
a = 11.2081 Å, b = 3.8779 Å, c = 7.2666 Å
α = 90.00°, β = 125.89°, γ = 90.00°
Space group Cm (No. 8)
Asymmetric unit:
Pr 0.0000 0.0000 0.0000
Ho 0.3495 0.5000 0.4046
Si 0.0558 0.5000 0.3707
Si 0.2899 0.0000 0.0319
Mo 0.1276 0.5000 0.7780
Mo 0.2160 0.0000 0.6150
C 0.4193 0.0000 0.6872